1.
For TbSnNO, a DFT-relaxed cell (GGA-PBE, OQMD) gives the simulated powder X-ray diffraction pattern in this record (λ = 1.5418 Å (Cu Kα)).
Kinematic intensities with the Lorentz-polarization factor, no thermal factor.

Largest 10 diffraction maxima, by angle, 10° ≤ 2θ ≤ 90°:
d/Å  two_theta  I/Imax
2.871  31.16  100
2.802  31.94  19
2.057  44.02  8
2.004  45.24  17
1.672  54.93  9
1.657  55.45  25
1.631  56.42  17
1.435  64.98  11
1.298  72.90  8
1.271  74.69  6

Structural model:
Unit cell a=5.7363 b=8.2282 c=5.6044 alpha=90.00 beta=90.00 gamma=90.00
Element x y z (fractional)
Tb  0.0140  0.1253  0.0000
Tb  0.4860  0.1253  0.5000
Tb  0.5140  0.8747  0.0000
Tb  0.9860  0.8747  0.5000
Sn  0.0284  0.6251  0.9856
Sn  0.4716  0.6251  0.4856
Sn  0.5284  0.3749  0.9856
Sn  0.9716  0.3749  0.4856
N  0.1041  0.6070  0.5961
N  0.3959  0.6070  0.0961
N  0.6041  0.3930  0.5961
N  0.8959  0.3930  0.0961
O  0.2474  0.9867  0.2486
O  0.2526  0.9867  0.7486
O  0.7474  0.0133  0.2486
O  0.7526  0.0133  0.7486

=====

2.
For Tb4CuCl2, a DFT-relaxed cell (GGA-PBE, OQMD) gives the simulated powder X-ray diffraction pattern in this record (λ = 1.5418 Å (Cu Kα)).
Kinematic intensities with the Lorentz-polarization factor, no thermal factor.

Largest 10 diffraction maxima, by angle, 10° ≤ 2θ ≤ 90°:
d/Å  two_theta  I/Imax
7.965  11.11  22
3.983  22.32  21
3.197  27.91  21
2.967  30.12  100
2.493  36.02  52
2.043  44.35  30
1.846  49.37  32
1.675  54.82  12
1.567  58.93  15
1.195  80.37  13

Structural model:
Unit cell a=3.6916 b=3.6916 c=15.9308 alpha=90.00 beta=90.00 gamma=120.00
Element x y z (fractional)
Tb  0.3333  0.6667  0.3837
Tb  0.3333  0.6667  0.9127
Tb  0.6667  0.3333  0.0873
Tb  0.6667  0.3333  0.6163
Cu  0.0000  0.0000  0.5000
Cl  0.3333  0.6667  0.2120
Cl  0.6667  0.3333  0.7880

=====

3.
For K5CoSb2, a DFT-relaxed cell (GGA-PBE, OQMD) gives the simulated powder X-ray diffraction pattern in this record (λ = 1.5418 Å (Cu Kα)).
Kinematic intensities with the Lorentz-polarization factor, no thermal factor.

Largest 10 diffraction maxima, by angle, 10° ≤ 2θ ≤ 90°:
d/Å  two_theta  I/Imax
5.104  17.37  50
4.869  18.22  19
3.174  28.11  44
2.997  29.81  100
2.470  36.37  16
2.291  39.33  14
2.179  41.44  14
1.762  51.88  14
1.730  52.92  18
1.498  61.92  11

Structural model:
Unit cell a=9.9801 b=9.9801 c=9.9801 alpha=34.95 beta=34.95 gamma=34.95
Element x y z (fractional)
K  0.0000  0.0000  0.0000
K  0.1364  0.1364  0.1364
K  0.2814  0.2814  0.2814
K  0.7186  0.7186  0.7186
K  0.8636  0.8636  0.8636
Co  0.5000  0.5000  0.5000
Sb  0.4109  0.4109  0.4109
Sb  0.5891  0.5891  0.5891

=====

4.
For Ir2Se3, a DFT-relaxed cell (GGA-PBE, OQMD) gives the simulated powder X-ray diffraction pattern in this record (λ = 1.5418 Å (Cu Kα)).
Kinematic intensities with the Lorentz-polarization factor, no thermal factor.

Largest 10 diffraction maxima, by angle, 10° ≤ 2θ ≤ 90°:
d/Å  two_theta  I/Imax
5.430  16.32  35
5.002  17.73  22
3.253  27.42  47
3.046  29.32  15
2.791  32.07  71
2.085  43.41  100
1.878  48.47  57
1.395  67.07  28
1.120  86.99  28
1.100  88.95  22

Structural model:
Unit cell a=6.5063 b=6.5063 c=10.8609 alpha=90.00 beta=90.00 gamma=120.00
Element x y z (fractional)
Ir  0.0000  0.0000  0.0000
Ir  0.0000  0.0000  0.5000
Ir  0.3333  0.6667  0.0109
Ir  0.3333  0.6667  0.4891
Ir  0.3333  0.6667  0.7500
Ir  0.6667  0.3333  0.2500
Ir  0.6667  0.3333  0.5109
Ir  0.6667  0.3333  0.9891
Se  0.0070  0.3352  0.8820
Se  0.0070  0.6718  0.6180
Se  0.3282  0.3352  0.6180
Se  0.3282  0.9930  0.8820
Se  0.3352  0.0070  0.3820
Se  0.3352  0.3282  0.1180
Se  0.6648  0.6718  0.8820
Se  0.6648  0.9930  0.6180
Se  0.6718  0.0070  0.1180
Se  0.6718  0.6648  0.3820
Se  0.9930  0.3282  0.3820
Se  0.9930  0.6648  0.1180

=====

5.
For BeNbReSi, a DFT-relaxed cell (GGA-PBE, OQMD) gives the simulated powder X-ray diffraction pattern in this record (λ = 1.5418 Å (Cu Kα)).
Kinematic intensities with the Lorentz-polarization factor, no thermal factor.

Largest 10 diffraction maxima, by angle, 10° ≤ 2θ ≤ 90°:
d/Å  two_theta  I/Imax
3.455  25.79  21
2.992  29.87  80
2.115  42.74  100
1.804  50.60  11
1.727  53.02  22
1.496  62.04  17
1.373  68.34  5
1.338  70.37  28
1.221  78.28  34
1.152  84.06  4

Structural model:
Unit cell a=5.9834 b=5.9834 c=5.9834 alpha=90.00 beta=90.00 gamma=90.00
Element x y z (fractional)
Be  0.0000  0.0000  0.0000
Be  0.0000  0.5000  0.5000
Be  0.5000  0.0000  0.5000
Be  0.5000  0.5000  0.0000
Nb  0.2500  0.2500  0.7500
Nb  0.2500  0.7500  0.2500
Nb  0.7500  0.2500  0.2500
Nb  0.7500  0.7500  0.7500
Re  0.2500  0.2500  0.2500
Re  0.2500  0.7500  0.7500
Re  0.7500  0.2500  0.7500
Re  0.7500  0.7500  0.2500
Si  0.0000  0.0000  0.5000
Si  0.0000  0.5000  0.0000
Si  0.5000  0.0000  0.0000
Si  0.5000  0.5000  0.5000

=====

6.
For Li4Cd2SnGe, a DFT-relaxed cell (GGA-PBE, OQMD) gives the simulated powder X-ray diffraction pattern in this record (λ = 1.5418 Å (Cu Kα)).
Kinematic intensities with the Lorentz-polarization factor, no thermal factor.

Largest 10 diffraction maxima, by angle, 10° ≤ 2θ ≤ 90°:
d/Å  two_theta  I/Imax
3.820  23.29  100
2.959  30.21  3
2.339  38.48  97
1.995  45.47  50
1.654  55.56  16
1.518  61.05  20
1.351  69.61  32
1.273  74.52  15
1.170  82.46  10
1.118  87.15  15

Structural model:
Unit cell a=4.6779 b=4.6779 c=6.6185 alpha=90.00 beta=90.00 gamma=90.00
Element x y z (fractional)
Li  0.0000  0.0000  0.0000
Li  0.0000  0.5000  0.7410
Li  0.5000  0.0000  0.2590
Li  0.5000  0.5000  0.5000
Cd  0.0000  0.5000  0.2639
Cd  0.5000  0.0000  0.7361
Sn  0.5000  0.5000  0.0000
Ge  0.0000  0.0000  0.5000

=====

7.
For In2BiIrS6, a DFT-relaxed cell (GGA-PBE, OQMD) gives the simulated powder X-ray diffraction pattern in this record (λ = 1.5418 Å (Cu Kα)).
Kinematic intensities with the Lorentz-polarization factor, no thermal factor.

Largest 10 diffraction maxima, by angle, 10° ≤ 2θ ≤ 90°:
d/Å  two_theta  I/Imax
6.445  13.74  49
5.671  15.63  35
4.264  20.83  48
3.743  23.77  84
3.583  24.85  33
3.196  27.92  100
3.070  29.09  39
3.053  29.25  36
2.530  35.48  53
2.341  38.45  36

Structural model:
Unit cell a=11.3443 b=3.8302 c=12.8096 alpha=90.00 beta=115.17 gamma=90.00
Element x y z (fractional)
In  0.0412  0.2500  0.1354
In  0.2718  0.2500  0.7316
In  0.7282  0.7500  0.2684
In  0.9588  0.7500  0.8646
Bi  0.4024  0.2500  0.1037
Bi  0.5976  0.7500  0.8963
Ir  0.1195  0.7500  0.4021
Ir  0.8805  0.2500  0.5979
S  0.0515  0.2500  0.7773
S  0.1556  0.7500  0.0702
S  0.1584  0.7500  0.5903
S  0.2072  0.2500  0.3724
S  0.3619  0.7500  0.8986
S  0.4957  0.7500  0.2647
S  0.5043  0.2500  0.7353
S  0.6381  0.2500  0.1014
S  0.7928  0.7500  0.6276
S  0.8416  0.2500  0.4097
S  0.8444  0.2500  0.9298
S  0.9485  0.7500  0.2227

=====

8.
For Al2Ni11, a DFT-relaxed cell (GGA-PBE, OQMD) gives the simulated powder X-ray diffraction pattern in this record (λ = 1.5418 Å (Cu Kα)).
Kinematic intensities with the Lorentz-polarization factor, no thermal factor.

Largest 10 diffraction maxima, by angle, 10° ≤ 2θ ≤ 90°:
d/Å  two_theta  I/Imax
3.965  22.42  21
2.336  38.55  25
2.051  44.17  26
2.014  45.02  100
1.994  45.49  20
1.907  47.68  34
1.861  48.93  37
1.750  52.27  18
1.738  52.66  19
1.168  82.62  22

Structural model:
Unit cell a=8.3756 b=8.3756 c=8.3756 alpha=32.38 beta=32.38 gamma=32.38
Element x y z (fractional)
Al  0.1657  0.1657  0.1657
Al  0.8343  0.8343  0.8343
Ni  0.0000  0.0000  0.0000
Ni  0.0885  0.0885  0.5828
Ni  0.0885  0.5828  0.0885
Ni  0.3487  0.3487  0.3487
Ni  0.4172  0.9115  0.9115
Ni  0.4507  0.4507  0.4507
Ni  0.5493  0.5493  0.5493
Ni  0.5828  0.0885  0.0885
Ni  0.6513  0.6513  0.6513
Ni  0.9115  0.4172  0.9115
Ni  0.9115  0.9115  0.4172